# Ac2UInRh6
Theoretical powder X-ray diffraction pattern, CuKα. Input: a structure optimized by DFT (GGA-PBE).
Kinematic intensities with the Lorentz-polarization factor, no thermal factor.

Main lines, in order of falling intensity (2θ from 5° to 70°):
2theta	I/Imax
37.97	100
22.97	69
46.94	44
11.42	43
35.43	40
29.81	32
61.91	29
32.01	24
44.30	16
49.00	14
56.14	14
66.95	12

Structural model:
a b c (Å): 5.996 5.996 8.483
angles (deg): 110.68 110.68 59.95
Fractional coordinates of all 10 atoms:
1 Ac 0.229 0.229 0.186
2 Ac 0.771 0.771 0.814
3 U 0.500 0.500 0.000
4 In 0.000 0.000 0.500
5 Rh 0.235 0.746 0.225
6 Rh 0.254 0.254 0.775
7 Rh 0.254 0.765 0.775
8 Rh 0.746 0.235 0.225
9 Rh 0.746 0.746 0.225
10 Rh 0.765 0.254 0.775

---

# Ag2Pt
Theoretical powder X-ray diffraction pattern, CuKα. Input: a structure optimized by DFT (GGA-PBE).
Kinematic intensities with the Lorentz-polarization factor, no thermal factor.

Main lines, in order of falling intensity (2θ from 5° to 70°):
2theta	I/Imax
38.25	100
44.59	32
44.19	17
64.63	16
64.89	10
64.43	5
15.77	5
14.52	3
18.88	3
23.85	1
31.87	1
36.62	1

Structural model:
a b c (Å): 5.771 5.771 6.428
angles (deg): 102.95 102.95 89.48
Fractional coordinates of all 12 atoms:
1 Ag 0.000 0.000 0.000
2 Ag 0.001 0.494 0.005
3 Ag 0.169 0.664 0.668
4 Ag 0.336 0.831 0.332
5 Ag 0.338 0.329 0.337
6 Ag 0.506 0.999 0.995
7 Ag 0.508 0.492 0.000
8 Ag 0.671 0.662 0.663
9 Pt 0.163 0.163 0.664
10 Pt 0.670 0.159 0.657
11 Pt 0.837 0.837 0.336
12 Pt 0.841 0.330 0.343

---

# Sm2Th2Zn
Theoretical powder X-ray diffraction pattern, CuKα. Input: a structure optimized by DFT (GGA-PBE).
Kinematic intensities with the Lorentz-polarization factor, no thermal factor.

Main lines, in order of falling intensity (2θ from 5° to 70°):
2theta	I/Imax
31.86	100
35.12	43
60.97	32
27.44	23
54.58	16
50.52	16
7.92	14
48.29	13
59.59	11
32.06	10
40.39	9
66.58	9

Structural model:
a b c (Å): 3.613 3.613 22.333
angles (deg): 90.00 90.00 90.00
Fractional coordinates of all 10 atoms:
1 Sm 0.000 0.000 0.083
2 Sm 0.000 0.000 0.917
3 Sm 0.500 0.500 0.417
4 Sm 0.500 0.500 0.583
5 Th 0.000 0.000 0.304
6 Th 0.000 0.000 0.696
7 Th 0.500 0.500 0.196
8 Th 0.500 0.500 0.804
9 Zn 0.000 0.000 0.500
10 Zn 0.500 0.500 0.000